# 1
YCrSe2: theoretical XRD peak list (CuKα), based on a DFT-relaxed cell (PBE, Alexandria).
Kinematic intensities with the Lorentz-polarization factor, no thermal factor.

Main lines, in order of rising 2θ (2θ = 10–90°):
25.67°, intensity 71.2
31.81°, intensity 52.2
32.69°, intensity 42.7
38.63°, intensity 100.0
43.46°, intensity 28.5
48.70°, intensity 40.2

Atomic structure:
Unit cell a=3.800 b=4.164 c=6.556 alpha=90.00 beta=106.79 gamma=90.00
Element x y z (fractional)
Y: 0.000 0.000 0.000
Cr: 0.778 0.500 0.554
Se: 0.422 0.500 0.843
Se: 0.666 0.000 0.333

***

# 2
Li3Zr3NiSe8: theoretical XRD peak list (CuKα), based on a DFT-relaxed cell (PBE, Alexandria).
Kinematic intensities with the Lorentz-polarization factor, no thermal factor.

Main lines, in order of rising 2θ (2θ = 10–90°):
13.53°, intensity 40.5
27.64°, intensity 16.2
32.91°, intensity 100.0
46.26°, intensity 37.0
48.18°, intensity 33.3
59.58°, intensity 17.1

Atomic structure:
Unit cell a=7.557 b=7.557 c=7.866 alpha=118.75 beta=118.75 gamma=59.95
Element x y z (fractional)
Li: 0.000 0.000 0.000
Li: 0.000 0.500 0.000
Li: 0.500 0.000 0.000
Zr: 0.000 0.500 0.500
Zr: 0.500 0.000 0.500
Zr: 0.500 0.500 0.500
Ni: 0.000 0.000 0.500
Se: 0.239 0.239 0.736
Se: 0.239 0.758 0.736
Se: 0.242 0.761 0.264
Se: 0.250 0.250 0.249
Se: 0.750 0.750 0.751
Se: 0.758 0.239 0.736
Se: 0.761 0.242 0.264
Se: 0.761 0.761 0.264

***

Copy entry 1 word for word.
YCrSe2: theoretical XRD peak list (CuKα), based on a DFT-relaxed cell (PBE, Alexandria).
Kinematic intensities with the Lorentz-polarization factor, no thermal factor.

Main lines, in order of rising 2θ (2θ = 10–90°):
25.67°, intensity 71.2
31.81°, intensity 52.2
32.69°, intensity 42.7
38.63°, intensity 100.0
43.46°, intensity 28.5
48.70°, intensity 40.2

Atomic structure:
Unit cell a=3.800 b=4.164 c=6.556 alpha=90.00 beta=106.79 gamma=90.00
Element x y z (fractional)
Y: 0.000 0.000 0.000
Cr: 0.778 0.500 0.554
Se: 0.422 0.500 0.843
Se: 0.666 0.000 0.333